This entry pairs a crystal structure of Ce5Ga2Ge with its calculated powder X-ray diffraction pattern. Radiation: Cu Kα X-rays. Structure: a cell relaxed with GGA-PBE.

Principal peaks in the range 2θ from 5° to 70°, in order of rising 2θ:
2theta	d_spacing	intensity
26.5	3.368	16
31.6	2.831	19
33.0	2.711	100
35.4	2.533	47
36.6	2.457	29
43.6	2.075	13
47.4	1.919	10
52.0	1.759	24
57.1	1.614	10
57.4	1.605	11

Cell lengths 8.415, 8.415, 8.415 Å; angles 123.17, 123.17, 84.59 degrees
Fractional positions:
Ce  0.000  0.000  0.000
Ce  0.016  0.516  0.852
Ce  0.164  0.016  0.500
Ce  0.336  0.836  0.852
Ce  0.484  0.336  0.500
Ce  0.500  0.500  0.000
Ce  0.516  0.664  0.500
Ce  0.664  0.164  0.148
Ce  0.836  0.984  0.500
Ce  0.984  0.484  0.148
Ga  0.121  0.379  0.500
Ga  0.379  0.879  0.258
Ga  0.621  0.121  0.742
Ga  0.879  0.621  0.500
Ge  0.250  0.250  0.000
Ge  0.750  0.750  0.000

---

This entry pairs a crystal structure of CeGaGe with its calculated powder X-ray diffraction pattern. Radiation: Cu Kα X-rays. Structure: a cell relaxed with GGA-PBE.

Principal peaks in the range 2θ from 5° to 70°, in order of rising 2θ:
2theta	d_spacing	intensity
24.2	3.676	5
27.7	3.215	31
32.1	2.787	100
37.1	2.420	53
42.4	2.130	42
48.3	1.884	25
51.5	1.776	11
57.7	1.599	29
61.6	1.506	14
66.2	1.411	19

Cell lengths 7.946, 7.946, 7.946 Å; angles 148.90, 148.90, 44.55 degrees
Fractional positions:
Ce  0.000  0.000  0.000
Ce  0.750  0.250  0.500
Ga  0.334  0.834  0.500
Ga  0.584  0.584  0.000
Ge  0.167  0.667  0.500
Ge  0.417  0.417  0.000

---

This entry pairs a crystal structure of LiCe2Ga with its calculated powder X-ray diffraction pattern. Radiation: Cu Kα X-rays. Structure: a cell relaxed with GGA-PBE.

Principal peaks in the range 2θ from 5° to 70°, in order of rising 2θ:
2theta	d_spacing	intensity
21.1	4.204	9
24.4	3.641	39
34.8	2.575	100
41.1	2.196	5
43.0	2.102	12
50.1	1.821	18
55.0	1.671	2
56.5	1.628	16
62.5	1.486	36
66.7	1.401	1

Cell lengths 5.149, 5.149, 5.149 Å; angles 60.00, 60.00, 60.00 degrees
Fractional positions:
Li  0.000  0.000  0.000
Ce  0.250  0.250  0.250
Ce  0.750  0.750  0.750
Ga  0.500  0.500  0.500

---

This entry pairs a crystal structure of CeMg14Ga with its calculated powder X-ray diffraction pattern. Radiation: Cu Kα X-rays. Structure: a cell relaxed with GGA-PBE.

Principal peaks in the range 2θ from 5° to 70°, in order of rising 2θ:
2theta	d_spacing	intensity
8.6	10.301	76
15.6	5.685	22
17.8	4.978	31
32.4	2.767	32
34.8	2.575	39
36.1	2.489	56
36.9	2.437	100
48.3	1.885	20
63.8	1.459	18
68.2	1.375	20

Cell lengths 10.301, 6.508, 6.508 Å; angles 58.24, 90.00, 90.00 degrees
Fractional positions:
Ce  0.000  0.000  0.000
Mg  0.000  0.010  0.494
Mg  0.000  0.494  0.010
Mg  0.233  0.652  0.652
Mg  0.255  0.159  0.654
Mg  0.255  0.654  0.159
Mg  0.260  0.159  0.159
Mg  0.500  0.495  0.495
Mg  0.500  0.496  0.988
Mg  0.500  0.988  0.496
Mg  0.500  0.993  0.993
Mg  0.740  0.159  0.159
Mg  0.745  0.159  0.654
Mg  0.745  0.654  0.159
Mg  0.767  0.652  0.652
Ga  0.000  0.478  0.478